No. 1
Diffraction record for La2Nd12Tl5. The PXRD pattern is computed, not measured: it uses the PBE geometry in Alexandria and Cu Kα X-rays.

The 10 most intense peaks (15° ≤ 2θ ≤ 90°), in order of rising 2θ:
| Position (°2θ) | Rel. int. |
| --- | --- |
| 21.10 | 44 |
| 29.87 | 33 |
| 30.66 | 33 |
| 31.31 | 100 |
| 31.92 | 68 |
| 32.28 | 29 |
| 32.93 | 28 |
| 33.53 | 69 |
| 34.64 | 63 |
| 35.83 | 38 |

Atomic structure:
```
La2Nd12Tl5
1.0
8.762 -3.615 0.000
8.762 3.615 0.000
-0.598 0.000 10.658
La Nd Tl
2 12 5
Direct
0.215 0.785 0.000
0.785 0.215 0.000
0.027 0.027 0.322
0.067 0.558 0.882
0.091 0.618 0.431
0.377 0.377 0.177
0.382 0.909 0.569
0.442 0.933 0.118
0.558 0.067 0.882
0.618 0.091 0.431
0.623 0.623 0.823
0.909 0.382 0.569
0.933 0.442 0.118
0.973 0.973 0.678
0.145 0.145 0.845
0.215 0.215 0.354
0.500 0.500 0.500
0.785 0.785 0.646
0.855 0.855 0.155
```

---

No. 2
Diffraction record for PaCuN2. The PXRD pattern is computed, not measured: it uses the PBE geometry in Alexandria and Cu Kα X-rays.

The 10 most intense peaks (15° ≤ 2θ ≤ 90°), in order of rising 2θ:
| Position (°2θ) | Rel. int. |
| --- | --- |
| 21.39 | 38 |
| 21.80 | 35 |
| 30.18 | 15 |
| 30.53 | 47 |
| 31.71 | 30 |
| 32.91 | 100 |
| 41.07 | 45 |
| 51.25 | 14 |
| 52.81 | 26 |
| 55.81 | 14 |

Atomic structure:
```
PaCuN2
1.0
6.300 0.000 0.000
0.000 6.140 0.000
-3.393 0.000 5.856
Pa Cu N
4 4 8
Direct
0.234 0.136 0.259
0.234 0.364 0.759
0.766 0.636 0.241
0.766 0.864 0.741
0.267 0.651 0.191
0.267 0.849 0.691
0.733 0.151 0.309
0.733 0.349 0.809
0.004 0.165 0.861
0.004 0.335 0.361
0.442 0.099 0.667
0.442 0.401 0.167
0.558 0.599 0.833
0.558 0.901 0.333
0.996 0.665 0.639
0.996 0.835 0.139
```

---

No. 3
Diffraction record for Tb6PrIn2. The PXRD pattern is computed, not measured: it uses the PBE geometry in Alexandria and Cu Kα X-rays.

The 10 most intense peaks (15° ≤ 2θ ≤ 90°), in order of rising 2θ:
| Position (°2θ) | Rel. int. |
| --- | --- |
| 20.10 | 44 |
| 23.70 | 100 |
| 27.93 | 78 |
| 32.65 | 69 |
| 33.90 | 55 |
| 35.92 | 34 |
| 37.65 | 62 |
| 45.14 | 36 |
| 57.63 | 37 |
| 68.66 | 33 |

Atomic structure:
```
Tb6PrIn2
1.0
-2.840 2.840 10.539
2.840 -2.840 10.539
2.840 2.840 -10.539
Tb Pr In
6 1 2
Direct
0.127 0.738 0.000
0.250 0.750 0.500
0.262 0.262 0.389
0.738 0.127 0.000
0.750 0.250 0.500
0.873 0.873 0.611
0.500 0.500 0.000
0.191 0.191 0.000
0.809 0.809 0.000
```

---

No. 4
Diffraction record for NaTbRu2O8. The PXRD pattern is computed, not measured: it uses the PBE geometry in Alexandria and Cu Kα X-rays.

The 10 most intense peaks (15° ≤ 2θ ≤ 90°), in order of rising 2θ:
| Position (°2θ) | Rel. int. |
| --- | --- |
| 15.34 | 14 |
| 18.62 | 19 |
| 28.65 | 100 |
| 30.96 | 14 |
| 34.28 | 18 |
| 46.85 | 31 |
| 49.26 | 13 |
| 53.65 | 17 |
| 57.99 | 28 |
| 75.80 | 12 |

Atomic structure:
```
NaTbRu2O8
1.0
-2.616 2.616 5.777
2.616 -2.616 5.777
2.616 2.616 -5.777
Na Tb Ru O
1 1 2 8
Direct
0.000 0.000 0.000
0.750 0.250 0.500
0.250 0.750 0.500
0.500 0.500 0.000
0.010 0.920 0.588
0.080 0.668 0.089
0.165 0.269 0.608
0.332 0.421 0.412
0.443 0.835 0.104
0.579 0.990 0.911
0.661 0.557 0.392
0.731 0.339 0.896
```

---

No. 5
Diffraction record for Ho11Tl4Hg9. The PXRD pattern is computed, not measured: it uses the PBE geometry in Alexandria and Cu Kα X-rays.

The 10 most intense peaks (15° ≤ 2θ ≤ 90°), in order of rising 2θ:
| Position (°2θ) | Rel. int. |
| --- | --- |
| 32.83 | 27 |
| 33.22 | 100 |
| 33.63 | 99 |
| 34.92 | 23 |
| 35.30 | 86 |
| 37.57 | 19 |
| 50.19 | 24 |
| 61.34 | 22 |
| 61.78 | 57 |
| 62.57 | 22 |

Atomic structure:
```
Ho11Tl4Hg9
1.0
8.043 -10.674 0.000
8.043 10.674 0.000
0.000 0.000 3.636
Ho Tl Hg
11 4 9
Direct
0.000 0.000 0.000
0.061 0.403 0.000
0.183 0.817 0.000
0.224 0.224 0.000
0.358 0.642 0.000
0.403 0.061 0.000
0.597 0.939 0.000
0.642 0.358 0.000
0.776 0.776 0.000
0.817 0.183 0.000
0.939 0.597 0.000
0.266 0.431 0.500
0.431 0.266 0.500
0.569 0.734 0.500
0.734 0.569 0.500
0.017 0.198 0.500
0.145 0.613 0.500
0.198 0.017 0.500
0.387 0.855 0.500
0.500 0.500 0.500
0.613 0.145 0.500
0.802 0.983 0.500
0.855 0.387 0.500
0.983 0.802 0.500
```

---

No. 6
Diffraction record for Tb5CeDy6. The PXRD pattern is computed, not measured: it uses the PBE geometry in Alexandria and Cu Kα X-rays.

The 10 most intense peaks (15° ≤ 2θ ≤ 90°), in order of rising 2θ:
| Position (°2θ) | Rel. int. |
| --- | --- |
| 30.86 | 100 |
| 35.78 | 51 |
| 51.50 | 36 |
| 61.22 | 29 |
| 61.31 | 14 |
| 64.29 | 12 |
| 75.75 | 4 |
| 84.03 | 15 |
| 86.70 | 10 |
| 86.85 | 7 |

Atomic structure:
```
Tb5CeDy6
1.0
5.604 -7.538 0.000
5.604 7.538 0.000
-2.243 0.000 4.491
Tb Ce Dy
5 1 6
Direct
0.000 0.000 0.000
0.167 0.833 0.500
0.334 0.666 0.000
0.666 0.334 0.000
0.833 0.167 0.500
0.500 0.500 0.500
0.085 0.416 0.251
0.252 0.252 0.752
0.416 0.085 0.251
0.584 0.915 0.749
0.748 0.748 0.248
0.915 0.584 0.749
```

---

No. 7
Diffraction record for Ac2GePd. The PXRD pattern is computed, not measured: it uses the PBE geometry in Alexandria and Cu Kα X-rays.

The 10 most intense peaks (15° ≤ 2θ ≤ 90°), in order of rising 2θ:
| Position (°2θ) | Rel. int. |
| --- | --- |
| 24.52 | 68 |
| 29.01 | 88 |
| 29.12 | 100 |
| 30.39 | 94 |
| 30.71 | 37 |
| 36.22 | 84 |
| 36.49 | 53 |
| 39.03 | 49 |
| 41.09 | 41 |
| 50.25 | 48 |

Atomic structure:
```
Ac2GePd
1.0
6.301 0.000 0.000
0.000 4.615 0.000
-3.149 0.000 8.204
Ac Ge Pd
4 2 2
Direct
0.225 0.250 0.419
0.230 0.250 0.939
0.770 0.750 0.061
0.775 0.750 0.581
0.336 0.750 0.707
0.664 0.250 0.293
0.359 0.750 0.212
0.641 0.250 0.788
```

---

No. 8
Diffraction record for GeBH4. The PXRD pattern is computed, not measured: it uses the PBE geometry in Alexandria and Cu Kα X-rays.

The 10 most intense peaks (15° ≤ 2θ ≤ 90°), in order of rising 2θ:
| Position (°2θ) | Rel. int. |
| --- | --- |
| 15.61 | 88 |
| 23.42 | 100 |
| 24.07 | 47 |
| 26.12 | 16 |
| 39.05 | 15 |
| 41.80 | 31 |
| 41.95 | 18 |
| 42.53 | 17 |
| 49.46 | 21 |
| 67.09 | 17 |

Atomic structure:
```
GeBH4
1.0
1.139 -8.855 0.000
1.139 8.855 0.000
0.000 0.000 7.394
Ge B H
2 2 8
Direct
0.177 0.823 0.500
0.823 0.177 0.000
0.436 0.564 0.531
0.564 0.436 0.031
0.035 0.965 0.121
0.211 0.789 0.695
0.370 0.630 0.556
0.466 0.534 0.386
0.534 0.466 0.886
0.630 0.370 0.056
0.789 0.211 0.195
0.965 0.035 0.621
```

---

No. 9
Diffraction record for Hf6SnB. The PXRD pattern is computed, not measured: it uses the PBE geometry in Alexandria and Cu Kα X-rays.

The 10 most intense peaks (15° ≤ 2θ ≤ 90°), in order of rising 2θ:
| Position (°2θ) | Rel. int. |
| --- | --- |
| 33.85 | 100 |
| 34.65 | 33 |
| 39.52 | 68 |
| 56.59 | 22 |
| 57.66 | 23 |
| 67.59 | 12 |
| 68.08 | 25 |
| 69.05 | 13 |
| 71.21 | 10 |
| 85.09 | 7 |

Atomic structure:
```
Hf6SnB
1.0
4.303 2.484 2.589
-4.303 2.484 2.589
0.000 -4.969 2.589
Hf Sn B
6 1 1
Direct
0.083 0.657 0.765
0.235 0.917 0.343
0.343 0.235 0.917
0.657 0.765 0.083
0.765 0.083 0.657
0.917 0.343 0.235
0.500 0.500 0.500
0.000 0.000 0.000
```

---

No. 10
Diffraction record for Rb3MoBr6. The PXRD pattern is computed, not measured: it uses the PBE geometry in Alexandria and Cu Kα X-rays.

The 10 most intense peaks (15° ≤ 2θ ≤ 90°), in order of rising 2θ:
| Position (°2θ) | Rel. int. |
| --- | --- |
| 15.19 | 29 |
| 21.54 | 33 |
| 26.46 | 61 |
| 30.65 | 100 |
| 40.16 | 15 |
| 43.89 | 66 |
| 51.98 | 20 |
| 54.48 | 21 |
| 72.44 | 23 |
| 80.68 | 16 |

Atomic structure:
```
Rb3MoBr6
1.0
0.000 5.834 5.834
5.834 0.000 5.834
5.834 5.834 0.000
Rb Mo Br
3 1 6
Direct
0.000 0.000 0.000
0.250 0.250 0.250
0.750 0.750 0.750
0.500 0.500 0.500
0.277 0.277 0.723
0.277 0.723 0.277
0.277 0.723 0.723
0.723 0.277 0.277
0.723 0.277 0.723
0.723 0.723 0.277
```

---

No. 11
Diffraction record for Mn22SnC6. The PXRD pattern is computed, not measured: it uses the PBE geometry in Alexandria and Cu Kα X-rays.

The 10 most intense peaks (15° ≤ 2θ ≤ 90°), in order of rising 2θ:
| Position (°2θ) | Rel. int. |
| --- | --- |
| 28.17 | 9 |
| 29.45 | 6 |
| 38.31 | 10 |
| 42.13 | 32 |
| 44.82 | 100 |
| 49.05 | 25 |
| 51.46 | 13 |
| 52.24 | 13 |
| 77.01 | 22 |
| 78.91 | 14 |

Atomic structure:
```
Mn22SnC6
1.0
0.000 5.253 5.253
5.253 0.000 5.253
5.253 5.253 0.000
Mn Sn C
22 1 6
Direct
0.000 0.000 0.348
0.000 0.000 0.652
0.000 0.348 0.000
0.000 0.348 0.652
0.000 0.652 0.000
0.000 0.652 0.348
0.148 0.617 0.617
0.250 0.250 0.250
0.348 0.000 0.000
0.348 0.000 0.652
0.348 0.652 0.000
0.383 0.383 0.383
0.383 0.383 0.852
0.383 0.852 0.383
0.617 0.148 0.617
0.617 0.617 0.148
0.617 0.617 0.617
0.652 0.000 0.000
0.652 0.000 0.348
0.652 0.348 0.000
0.750 0.750 0.750
0.852 0.383 0.383
0.000 0.000 0.000
0.281 0.281 0.719
0.281 0.719 0.281
0.281 0.719 0.719
0.719 0.281 0.281
0.719 0.281 0.719
0.719 0.719 0.281
```

---

No. 12
Diffraction record for K7Tl. The PXRD pattern is computed, not measured: it uses the PBE geometry in Alexandria and Cu Kα X-rays.

The 10 most intense peaks (15° ≤ 2θ ≤ 90°), in order of rising 2θ:
| Position (°2θ) | Rel. int. |
| --- | --- |
| 15.58 | 33 |
| 17.94 | 25 |
| 25.33 | 91 |
| 25.63 | 100 |
| 26.78 | 24 |
| 34.77 | 20 |
| 36.35 | 34 |
| 45.00 | 36 |
| 45.18 | 20 |
| 59.30 | 18 |

Atomic structure:
```
K7Tl
1.0
3.476 2.007 11.549
-3.476 2.007 11.549
0.000 -4.014 11.549
K Tl
7 1
Direct
0.000 0.000 0.000
0.135 0.135 0.135
0.252 0.252 0.252
0.389 0.389 0.389
0.611 0.611 0.611
0.748 0.748 0.748
0.865 0.865 0.865
0.500 0.500 0.500
```